Diffraction record for Ba2BiRuO6. The PXRD pattern is theoretical, not measured: it uses DFT lattice parameters and positions (PBE) and Cu Kα (λ = 1.5418 Å).
No peak broadening, texture or thermal motion is included.

Principal peaks in the range 10° ≤ 2θ ≤ 90°, sorted by position:
27.39 deg, intensity 81
29.11 deg, intensity 100
31.01 deg, intensity 23
40.40 deg, intensity 45
43.05 deg, intensity 15
47.33 deg, intensity 13
50.57 deg, intensity 30
51.61 deg, intensity 21
60.35 deg, intensity 18
67.51 deg, intensity 14

Cell: 6.1347 6.1347 20.6000 Å, 90.00 90.00 120.00°
Space group P6_3/mmc (No. 194)
One atom of each set of equivalent atoms:
Ba 0.0000 0.0000 0.0000 (multiplicity 2)
Ba 0.3333 0.6667 0.1446 (multiplicity 4)
Ba 0.3333 0.6667 0.7500 (multiplicity 2)
Bi 0.3333 0.6667 0.5611 (multiplicity 4)
Ru 0.0000 0.0000 0.1833 (multiplicity 4)
O 0.0000 0.5000 0.0000 (multiplicity 6)
O 0.1524 0.3048 0.2500 (multiplicity 6)
O 0.1584 0.3167 0.6366 (multiplicity 12)



Diffraction record for MgSi. The PXRD pattern is theoretical, not measured: it uses DFT lattice parameters and positions (PBE) and Cu Kα (λ = 1.5418 Å).
No peak broadening, texture or thermal motion is included.

Principal peaks in the range 10° ≤ 2θ ≤ 90°, sorted by position:
31.08 deg, intensity 100
34.04 deg, intensity 62
36.22 deg, intensity 42
36.88 deg, intensity 50
36.94 deg, intensity 40
39.15 deg, intensity 45
39.51 deg, intensity 43
39.93 deg, intensity 46
46.51 deg, intensity 38
46.66 deg, intensity 53

Cell: 4.793 5.233 10.207 Å, 75.53 78.12 76.43°
Space group P1 (No. 1)
One atom of each set of equivalent atoms:
Mg 0.000 0.000 0.000 (multiplicity 1)
Mg 0.014 0.467 0.685 (multiplicity 1)
Mg 0.176 0.667 0.355 (multiplicity 1)
Mg 0.468 0.998 0.507 (multiplicity 1)
Mg 0.512 0.182 0.200 (multiplicity 1)
Mg 0.578 0.091 0.792 (multiplicity 1)
Si 0.142 0.883 0.754 (multiplicity 1)
Si 0.392 0.541 0.925 (multiplicity 1)
Si 0.534 0.740 0.094 (multiplicity 1)
Si 0.648 0.463 0.514 (multiplicity 1)
Si 0.972 0.206 0.352 (multiplicity 1)
Si 0.975 0.422 0.106 (multiplicity 1)



Diffraction record for Ti3N2O3. The PXRD pattern is theoretical, not measured: it uses DFT lattice parameters and positions (PBE) and Cu Kα (λ = 1.5418 Å).
No peak broadening, texture or thermal motion is included.

Principal peaks in the range 10° ≤ 2θ ≤ 90°, sorted by position:
18.06 deg, intensity 60
24.86 deg, intensity 100
32.65 deg, intensity 58
36.02 deg, intensity 24
37.01 deg, intensity 24
41.00 deg, intensity 24
46.03 deg, intensity 28
47.27 deg, intensity 37
52.01 deg, intensity 19
58.63 deg, intensity 18

Cell: 3.846 9.826 9.918 Å, 90.00 90.00 90.00°
Space group Cmcm (No. 63)
One atom of each set of equivalent atoms:
Ti 0.000 0.144 0.052 (multiplicity 8)
Ti 0.000 0.201 0.750 (multiplicity 4)
N 0.000 0.308 0.577 (multiplicity 8)
O 0.000 0.045 0.619 (multiplicity 8)
O 0.000 0.246 0.250 (multiplicity 4)



Diffraction record for PrSnPt. The PXRD pattern is theoretical, not measured: it uses DFT lattice parameters and positions (PBE) and Cu Kα (λ = 1.5418 Å).
No peak broadening, texture or thermal motion is included.

Principal peaks in the range 10° ≤ 2θ ≤ 90°, sorted by position:
23.18 deg, intensity 17
31.65 deg, intensity 71
34.48 deg, intensity 100
35.74 deg, intensity 33
40.72 deg, intensity 42
41.96 deg, intensity 42
43.31 deg, intensity 28
57.36 deg, intensity 17
60.95 deg, intensity 26
65.11 deg, intensity 33

Cell: 7.6759 7.6759 4.1785 Å, 90.00 90.00 120.00°
Space group P-62m (No. 189)
One atom of each set of equivalent atoms:
Pr 0.0000 0.4107 0.0000 (multiplicity 3)
Sn 0.0000 0.7476 0.5000 (multiplicity 3)
Pt 0.0000 0.0000 0.0000 (multiplicity 1)
Pt 0.3333 0.6667 0.5000 (multiplicity 2)



Diffraction record for U11Ni16. The PXRD pattern is theoretical, not measured: it uses DFT lattice parameters and positions (PBE) and Cu Kα (λ = 1.5418 Å).
No peak broadening, texture or thermal motion is included.

Principal peaks in the range 10° ≤ 2θ ≤ 90°, sorted by position:
23.38 deg, intensity 17
24.80 deg, intensity 53
38.66 deg, intensity 40
38.82 deg, intensity 34
39.72 deg, intensity 38
40.79 deg, intensity 100
41.89 deg, intensity 17
42.39 deg, intensity 81
42.68 deg, intensity 17
75.35 deg, intensity 19

Cell: 11.7066 11.7066 20.5294 Å, 90.00 90.00 120.00°
Space group R-3 (No. 148, hexagonal axes)
One atom of each set of equivalent atoms:
U 0.0000 0.0000 0.0720 (multiplicity 6)
U 0.0000 0.0000 0.3062 (multiplicity 6)
U 0.0364 0.7855 0.3379 (multiplicity 18)
U 0.0479 0.7884 0.8748 (multiplicity 18)
U 0.0797 0.5843 0.1413 (multiplicity 18)
Ni 0.0000 0.0000 0.4384 (multiplicity 6)
Ni 0.0246 0.8830 0.2003 (multiplicity 18)
Ni 0.0372 0.8096 0.7355 (multiplicity 18)
Ni 0.0477 0.8281 0.6071 (multiplicity 18)
Ni 0.0498 0.7851 0.0987 (multiplicity 18)
Ni 0.0873 0.2412 0.9981 (multiplicity 18)



Diffraction record for CeAgPb. The PXRD pattern is theoretical, not measured: it uses DFT lattice parameters and positions (PBE) and Cu Kα (λ = 1.5418 Å).
No peak broadening, texture or thermal motion is included.

Principal peaks in the range 10° ≤ 2θ ≤ 90°, sorted by position:
23.86 deg, intensity 27
31.45 deg, intensity 100
36.39 deg, intensity 91
41.36 deg, intensity 25
48.84 deg, intensity 29
61.50 deg, intensity 20
62.41 deg, intensity 28
64.99 deg, intensity 11
65.47 deg, intensity 16
85.80 deg, intensity 12

Cell: 4.9384 4.9384 7.6166 Å, 90.00 90.00 120.00°
Space group P6_3mc (No. 186)
One atom of each set of equivalent atoms:
Ce 0.0000 0.0000 0.0000 (multiplicity 2)
Ag 0.3333 0.6667 0.1963 (multiplicity 2)
Pb 0.3333 0.6667 0.7785 (multiplicity 2)



Diffraction record for Ta3Ru. The PXRD pattern is theoretical, not measured: it uses DFT lattice parameters and positions (PBE) and Cu Kα (λ = 1.5418 Å).
No peak broadening, texture or thermal motion is included.

Principal peaks in the range 10° ≤ 2θ ≤ 90°, sorted by position:
23.81 deg, intensity 3
27.56 deg, intensity 2
39.37 deg, intensity 100
46.53 deg, intensity 2
56.90 deg, intensity 17
62.55 deg, intensity 1
64.36 deg, intensity 1
71.39 deg, intensity 35
84.71 deg, intensity 11
89.59 deg, intensity 1

Cell: 6.473 6.473 6.473 Å, 90.00 90.00 90.00°
Space group Fm-3m (No. 225)
One atom of each set of equivalent atoms:
Ta 0.000 0.000 0.000 (multiplicity 4)
Ta 0.250 0.250 0.250 (multiplicity 8)
Ru 0.000 0.000 0.500 (multiplicity 4)



Diffraction record for SrSiO3. The PXRD pattern is theoretical, not measured: it uses DFT lattice parameters and positions (PBE) and Cu Kα (λ = 1.5418 Å).
No peak broadening, texture or thermal motion is included.

Principal peaks in the range 10° ≤ 2θ ≤ 90°, sorted by position:
26.32 deg, intensity 32
26.45 deg, intensity 38
27.86 deg, intensity 58
29.37 deg, intensity 73
29.53 deg, intensity 100
29.94 deg, intensity 77
33.92 deg, intensity 29
38.00 deg, intensity 43
49.20 deg, intensity 33
50.66 deg, intensity 38

Cell: 7.550 6.156 13.626 Å, 90.00 116.77 90.00°
Space group P2_1/c (No. 14)
One atom of each set of equivalent atoms:
Sr 0.215 0.101 0.126 (multiplicity 4)
Sr 0.257 0.591 0.342 (multiplicity 4)
Si 0.159 0.088 0.408 (multiplicity 4)
Si 0.449 0.650 0.118 (multiplicity 4)
O 0.012 0.615 0.852 (multiplicity 4)
O 0.059 0.175 0.901 (multiplicity 4)
O 0.309 0.089 0.345 (multiplicity 4)
O 0.316 0.058 0.542 (multiplicity 4)
O 0.397 0.629 0.548 (multiplicity 4)
O 0.434 0.670 0.232 (multiplicity 4)



Diffraction record for Ba2ErMgSbO6. The PXRD pattern is theoretical, not measured: it uses DFT lattice parameters and positions (PBE) and Cu Kα (λ = 1.5418 Å).
No peak broadening, texture or thermal motion is included.

Principal peaks in the range 10° ≤ 2θ ≤ 90°, sorted by position:
14.20 deg, intensity 36
24.90 deg, intensity 10
25.19 deg, intensity 19
28.37 deg, intensity 100
28.86 deg, intensity 38
29.14 deg, intensity 19
38.12 deg, intensity 14
41.14 deg, intensity 16
50.23 deg, intensity 21
58.70 deg, intensity 19

Cell: 10.910 6.285 7.264 Å, 90.00 120.87 90.00°
Space group Cm (No. 8)
One atom of each set of equivalent atoms:
Ba 0.000 0.000 0.000 (multiplicity 2)
Ba 0.096 0.500 0.783 (multiplicity 2)
Er 0.251 0.000 0.753 (multiplicity 2)
Mg 0.400 0.000 0.184 (multiplicity 2)
Sb 0.306 0.500 0.423 (multiplicity 2)
O 0.019 0.000 0.619 (multiplicity 2)
O 0.272 0.229 0.027 (multiplicity 4)
O 0.284 0.272 0.598 (multiplicity 4)
O 0.494 0.000 0.021 (multiplicity 2)



Repeat the second record exactly.
Diffraction record for MgSi. The PXRD pattern is theoretical, not measured: it uses DFT lattice parameters and positions (PBE) and Cu Kα (λ = 1.5418 Å).
No peak broadening, texture or thermal motion is included.

Principal peaks in the range 10° ≤ 2θ ≤ 90°, sorted by position:
31.08 deg, intensity 100
34.04 deg, intensity 62
36.22 deg, intensity 42
36.88 deg, intensity 50
36.94 deg, intensity 40
39.15 deg, intensity 45
39.51 deg, intensity 43
39.93 deg, intensity 46
46.51 deg, intensity 38
46.66 deg, intensity 53

Cell: 4.793 5.233 10.207 Å, 75.53 78.12 76.43°
Space group P1 (No. 1)
One atom of each set of equivalent atoms:
Mg 0.000 0.000 0.000 (multiplicity 1)
Mg 0.014 0.467 0.685 (multiplicity 1)
Mg 0.176 0.667 0.355 (multiplicity 1)
Mg 0.468 0.998 0.507 (multiplicity 1)
Mg 0.512 0.182 0.200 (multiplicity 1)
Mg 0.578 0.091 0.792 (multiplicity 1)
Si 0.142 0.883 0.754 (multiplicity 1)
Si 0.392 0.541 0.925 (multiplicity 1)
Si 0.534 0.740 0.094 (multiplicity 1)
Si 0.648 0.463 0.514 (multiplicity 1)
Si 0.972 0.206 0.352 (multiplicity 1)
Si 0.975 0.422 0.106 (multiplicity 1)